Entry 1:
Computed powder X-ray diffraction pattern
Compound: SmSiPt3
Radiation: Cu Kα, 1.54184 Å
Structure: a DFT-relaxed cell (PBE, the Materials Project)
Neutral-atom scattering factors, no anomalous dispersion.

Atomic structure:
Cell lengths 4.095, 4.095, 5.510 Å; angles 90.00, 90.00, 90.00 degrees
Space group P4mm (No. 99)
Inequivalent atoms, fractional coordinates:
Sm: 0.000 0.000 0.000 [1 per cell]
Si: 0.500 0.500 0.286 [1 per cell]
Pt: 0.000 0.500 0.513 [2 per cell]
Pt: 0.500 0.500 0.869 [1 per cell]

Peak list (8 most intense, 15° ≤ 2θ ≤ 90°, by intensity)
two_theta, d (Å), I/Imax
35.00, 2.563, 1000
44.23, 2.048, 341
75.40, 1.261, 222
32.50, 2.755, 180
45.44, 1.996, 159
55.95, 1.643, 157
39.42, 2.286, 128
16.09, 5.510, 118

Entry 2:
Computed powder X-ray diffraction pattern
Compound: ZrCoN2
Radiation: Cu Kα, 1.54184 Å
Structure: a DFT-relaxed cell (PBE, the Materials Project)
Neutral-atom scattering factors, no anomalous dispersion.

Atomic structure:
Cell lengths 5.905, 4.419, 7.173 Å; angles 90.00, 90.00, 90.00 degrees
Space group Pnma (No. 62)
Inequivalent atoms, fractional coordinates:
Zr: 0.127 0.250 0.121 [4 per cell]
Co: 0.058 0.250 0.654 [4 per cell]
N: 0.017 0.750 0.610 [4 per cell]
N: 0.108 0.750 0.113 [4 per cell]

Peak list (8 most intense, 15° ≤ 2θ ≤ 90°, by intensity)
two_theta, d (Å), I/Imax
35.65, 2.519, 1000
29.13, 3.065, 906
36.60, 2.455, 716
40.84, 2.209, 605
50.94, 1.793, 594
53.07, 1.726, 274
69.06, 1.360, 231
64.33, 1.448, 228

Entry 3:
Computed powder X-ray diffraction pattern
Compound: Mg3C
Radiation: Cu Kα, 1.54184 Å
Structure: a DFT-relaxed cell (PBE, the Materials Project)
Neutral-atom scattering factors, no anomalous dispersion.

Atomic structure:
Cell lengths 7.7494, 7.7494, 3.0871 Å; angles 90.00, 90.00, 120.00 degrees
Space group P6_3/mmc (No. 194)
Inequivalent atoms, fractional coordinates:
Mg: 0.2106 0.4212 0.2500 [6 per cell]
C: 0.3333 0.6667 0.7500 [2 per cell]

Peak list (8 most intense, 15° ≤ 2θ ≤ 90°, by intensity)
two_theta, d (Å), I/Imax
39.67, 2.272, 1000
35.39, 2.537, 723
26.56, 3.356, 694
50.37, 1.811, 659
31.91, 2.805, 490
68.05, 1.378, 262
71.56, 1.319, 177
48.93, 1.861, 143

Entry 4:
Computed powder X-ray diffraction pattern
Compound: Sr2Ti2Sb2OF2
Radiation: Cu Kα, 1.54184 Å
Structure: a DFT-relaxed cell (PBE, the Materials Project)
Neutral-atom scattering factors, no anomalous dispersion.

Atomic structure:
Cell lengths 4.113, 4.113, 21.354 Å; angles 90.00, 90.00, 90.00 degrees
Space group I4/mmm (No. 139)
Inequivalent atoms, fractional coordinates:
Sr: 0.000 0.000 0.183 [4 per cell]
Ti: 0.000 0.500 0.000 [4 per cell]
Sb: 0.000 0.000 0.405 [4 per cell]
O: 0.000 0.000 0.000 [2 per cell]
F: 0.000 0.500 0.250 [4 per cell]

Peak list (8 most intense, 15° ≤ 2θ ≤ 90°, by intensity)
two_theta, d (Å), I/Imax
30.17, 2.963, 1000
44.04, 2.056, 457
35.14, 2.554, 396
54.30, 1.689, 367
30.74, 2.908, 255
64.04, 1.454, 185
22.01, 4.039, 158
46.16, 1.967, 128

Entry 5:
Computed powder X-ray diffraction pattern
Compound: Te2MoWS2
Radiation: Cu Kα, 1.54184 Å
Structure: a DFT-relaxed cell (PBE, the Materials Project)
Neutral-atom scattering factors, no anomalous dispersion.

Atomic structure:
Cell lengths 3.3523, 3.3523, 39.9173 Å; angles 90.00, 90.00, 120.00 degrees
Space group P3m1 (No. 156)
Inequivalent atoms, fractional coordinates:
Te: 0.0000 0.0000 0.0000 [1 per cell]
Te: 0.0000 0.0000 0.0948 [1 per cell]
Te: 0.3333 0.6667 0.8089 [1 per cell]
Te: 0.3333 0.6667 0.9037 [1 per cell]
Mo: 0.0000 0.0000 0.8562 [1 per cell]
Mo: 0.3333 0.6667 0.0474 [1 per cell]
W: 0.0000 0.0000 0.2339 [1 per cell]
W: 0.3333 0.6667 0.4216 [1 per cell]
S: 0.0000 0.0000 0.3835 [1 per cell]
S: 0.0000 0.0000 0.4596 [1 per cell]
S: 0.3333 0.6667 0.1959 [1 per cell]
S: 0.3333 0.6667 0.2720 [1 per cell]

Peak list (8 most intense, 15° ≤ 2θ ≤ 90°, by intensity)
two_theta, d (Å), I/Imax
35.78, 2.509, 1000
42.87, 2.110, 630
30.83, 2.901, 576
54.78, 1.676, 356
44.54, 2.034, 190
31.13, 2.873, 183
75.64, 1.257, 171
32.83, 2.728, 171

Entry 6:
Computed powder X-ray diffraction pattern
Compound: Na6TaIn3Si2P4O24
Radiation: Cu Kα, 1.54184 Å
Structure: a DFT-relaxed cell (PBE, the Materials Project)
Neutral-atom scattering factors, no anomalous dispersion.

Atomic structure:
Cell lengths 9.106, 9.112, 9.113 Å; angles 90.19, 119.81, 119.86 degrees
Space group P1 (No. 1)
Inequivalent atoms, fractional coordinates:
Na: 0.000 0.000 0.000 [1 per cell]
Na: 0.011 0.503 0.512 [1 per cell]
Na: 0.129 0.392 0.225 [1 per cell]
Na: 0.509 0.088 0.254 [1 per cell]
Na: 0.522 0.893 0.767 [1 per cell]
Na: 0.891 0.621 0.808 [1 per cell]
Ta: 0.303 0.145 0.459 [1 per cell]
In: 0.305 0.642 0.955 [1 per cell]
In: 0.713 0.358 0.074 [1 per cell]
In: 0.716 0.855 0.567 [1 per cell]
Si: 0.212 0.753 0.270 [1 per cell]
Si: 0.814 0.255 0.768 [1 per cell]
P: 0.220 0.959 0.772 [1 per cell]
P: 0.505 0.544 0.762 [1 per cell]
P: 0.513 0.450 0.276 [1 per cell]
P: 0.808 0.044 0.256 [1 per cell]
O: 0.010 0.084 0.281 [1 per cell]
O: 0.023 0.582 0.263 [1 per cell]
O: 0.028 0.917 0.760 [1 per cell]
O: 0.202 0.932 0.289 [1 per cell]
O: 0.215 0.788 0.751 [1 per cell]
O: 0.216 0.738 0.092 [1 per cell]
O: 0.229 0.028 0.615 [1 per cell]
O: 0.348 0.275 0.287 [1 per cell]
O: 0.349 0.570 0.756 [1 per cell]
O: 0.373 0.480 0.112 [1 per cell]
O: 0.384 0.381 0.592 [1 per cell]
O: 0.414 0.105 0.952 [1 per cell]
O: 0.423 0.799 0.449 [1 per cell]
O: 0.577 0.203 0.596 [1 per cell]
O: 0.620 0.890 0.076 [1 per cell]
O: 0.625 0.511 0.931 [1 per cell]
O: 0.642 0.398 0.261 [1 per cell]
O: 0.652 0.606 0.451 [1 per cell]
O: 0.671 0.717 0.760 [1 per cell]
O: 0.802 0.001 0.415 [1 per cell]
O: 0.820 0.080 0.761 [1 per cell]
O: 0.824 0.222 0.259 [1 per cell]
O: 0.827 0.302 0.947 [1 per cell]
O: 0.982 0.431 0.755 [1 per cell]

Peak list (8 most intense, 15° ≤ 2θ ≤ 90°, by intensity)
two_theta, d (Å), I/Imax
19.46, 4.560, 1000
30.98, 2.887, 469
34.04, 2.633, 368
46.67, 1.946, 193
27.63, 3.228, 166
22.86, 3.889, 162
34.12, 2.627, 146
44.37, 2.042, 111

Entry 7:
Computed powder X-ray diffraction pattern
Compound: MgTi3
Radiation: Cu Kα, 1.54184 Å
Structure: a DFT-relaxed cell (PBE, the Materials Project)
Neutral-atom scattering factors, no anomalous dispersion.

Atomic structure:
Cell lengths 4.777, 5.844, 5.179 Å; angles 90.00, 90.00, 90.00 degrees
Space group Pmmn (No. 59, origin choice 2)
Inequivalent atoms, fractional coordinates:
Mg: 0.250 0.250 0.161 [2 per cell]
Ti: 0.250 0.502 0.656 [4 per cell]
Ti: 0.250 0.750 0.167 [2 per cell]

Peak list (8 most intense, 15° ≤ 2θ ≤ 90°, by intensity)
two_theta, d (Å), I/Imax
40.15, 2.246, 1000
39.59, 2.276, 599
37.66, 2.388, 426
35.27, 2.545, 297
75.31, 1.262, 180
52.55, 1.741, 171
69.66, 1.350, 170
62.49, 1.486, 164

Entry 8:
Computed powder X-ray diffraction pattern
Compound: Cu4WS4Cl4
Radiation: Cu Kα, 1.54184 Å
Structure: a DFT-relaxed cell (PBE, the Materials Project)
Neutral-atom scattering factors, no anomalous dispersion.

Atomic structure:
Cell lengths 13.413, 13.413, 6.118 Å; angles 90.00, 90.00, 90.00 degrees
Space group I4/mmm (No. 139)
Inequivalent atoms, fractional coordinates:
Cu: 0.000 0.367 0.000 [8 per cell]
Cu: 0.137 0.137 0.500 [8 per cell]
W: 0.000 0.000 0.000 [2 per cell]
W: 0.000 0.000 0.500 [2 per cell]
S: 0.000 0.153 0.250 [16 per cell]
Cl: 0.129 0.371 0.250 [16 per cell]

Peak list (8 most intense, 15° ≤ 2θ ≤ 90°, by intensity)
two_theta, d (Å), I/Imax
41.06, 2.198, 1000
24.66, 3.610, 653
49.58, 1.838, 609
20.94, 4.242, 437
40.35, 2.236, 332
34.08, 2.631, 268
54.75, 1.677, 233
89.19, 1.098, 224

Entry 9:
Computed powder X-ray diffraction pattern
Compound: PuO2
Radiation: Cu Kα, 1.54184 Å
Structure: a DFT-relaxed cell (PBE, the Materials Project)
Neutral-atom scattering factors, no anomalous dispersion.

Atomic structure:
Cell lengths 5.385, 5.385, 5.385 Å; angles 90.00, 90.00, 90.00 degrees
Space group Fm-3m (No. 225)
Inequivalent atoms, fractional coordinates:
Pu: 0.000 0.000 0.000 [4 per cell]
O: 0.250 0.250 0.250 [8 per cell]

Peak list (8 most intense, 15° ≤ 2θ ≤ 90°, by intensity)
two_theta, d (Å), I/Imax
28.72, 3.109, 1000
47.77, 1.904, 488
56.70, 1.624, 469
33.28, 2.692, 376
77.22, 1.235, 195
89.07, 1.099, 169
79.62, 1.204, 148
59.46, 1.554, 107

Entry 10:
Computed powder X-ray diffraction pattern
Compound: Mg2Si
Radiation: Cu Kα, 1.54184 Å
Structure: a DFT-relaxed cell (PBE, the Materials Project)
Neutral-atom scattering factors, no anomalous dispersion.

Atomic structure:
Cell lengths 5.768, 6.030, 7.605 Å; angles 87.18, 69.00, 72.08 degrees
Space group P-1 (No. 2)
Inequivalent atoms, fractional coordinates:
Mg: 0.181 0.323 0.127 [2 per cell]
Mg: 0.182 0.821 0.103 [2 per cell]
Mg: 0.220 0.821 0.538 [2 per cell]
Mg: 0.234 0.317 0.509 [2 per cell]
Si: 0.395 0.483 0.782 [2 per cell]
Si: 0.396 0.066 0.783 [2 per cell]

Peak list (8 most intense, 15° ≤ 2θ ≤ 90°, by intensity)
two_theta, d (Å), I/Imax
35.07, 2.559, 1000
37.20, 2.417, 780
39.08, 2.305, 633
39.26, 2.295, 496
35.66, 2.518, 487
41.63, 2.169, 460
40.62, 2.221, 459
38.11, 2.361, 414

Entry 11:
Computed powder X-ray diffraction pattern
Compound: Sm2IrPd
Radiation: Cu Kα, 1.54184 Å
Structure: a DFT-relaxed cell (PBE, the Materials Project)
Neutral-atom scattering factors, no anomalous dispersion.

Atomic structure:
Cell lengths 7.081, 7.081, 7.081 Å; angles 90.00, 90.00, 90.00 degrees
Space group Fm-3m (No. 225)
Inequivalent atoms, fractional coordinates:
Sm: 0.250 0.250 0.250 [8 per cell]
Ir: 0.000 0.000 0.000 [4 per cell]
Pd: 0.000 0.000 0.500 [4 per cell]

Peak list (8 most intense, 15° ≤ 2θ ≤ 90°, by intensity)
two_theta, d (Å), I/Imax
35.87, 2.504, 1000
64.47, 1.445, 363
51.63, 1.770, 177
87.03, 1.120, 164
76.03, 1.252, 113
21.74, 4.088, 40
42.33, 2.135, 24
56.66, 1.624, 11

Entry 12:
Computed powder X-ray diffraction pattern
Compound: SnNF3
Radiation: Cu Kα, 1.54184 Å
Structure: a DFT-relaxed cell (PBE, the Materials Project)
Neutral-atom scattering factors, no anomalous dispersion.

Atomic structure:
Cell lengths 10.789, 6.253, 6.805 Å; angles 90.00, 122.54, 90.00 degrees
Space group C2 (No. 5)
Inequivalent atoms, fractional coordinates:
Sn: 0.167 0.000 0.499 [4 per cell]
N: 0.123 0.512 0.833 [4 per cell]
F: 0.074 0.997 0.716 [4 per cell]
F: 0.168 0.258 0.285 [4 per cell]
F: 0.174 0.747 0.284 [4 per cell]

Peak list (8 most intense, 15° ≤ 2θ ≤ 90°, by intensity)
two_theta, d (Å), I/Imax
15.44, 5.737, 1000
17.20, 5.157, 670
28.61, 3.120, 570
32.59, 2.748, 517
19.33, 4.592, 368
42.62, 2.121, 291
32.83, 2.728, 232
19.52, 4.547, 185